Calculated XRD peak list of KNa3Hg4Br12 for Cu Kα (weighted mean of Kα1 and Kα2), from a structure optimized by DFT (GGA-PBE).
Neutral-atom scattering factors, no anomalous dispersion.

Unit cell a=15.5110 b=15.5110 c=11.3679 alpha=90.00 beta=90.00 gamma=120.00
Space group R32 (No. 155, hexagonal axes)
Inequivalent atoms, fractional coordinates:
K 0.0000 0.0000 0.0000
Na 0.0000 0.5527 0.0000
Hg 0.0000 0.0000 0.5000
Hg 0.0000 0.4398 0.5000
Br 0.0000 0.6076 0.5000
Br 0.0000 0.8340 0.5000
Br 0.0514 0.2111 0.1676

The 6 most intense peaks (15 to 90 degrees two-theta), low angle first:
| Position (°2θ) | Rel. int. | hkl |
| --- | --- | --- |
| 15.32 | 69 | 0 2 1 |
| 19.15 | 51 | 2 1 1 |
| 20.47 | 69 | 2 0 2 |
| 23.48 | 100 | 0 0 3 |
| 34.28 | 38 | 0 5 1 |
| 48.06 | 40 | 0 0 6 |



Calculated XRD peak list of KHg2BrO2 for Cu Kα (weighted mean of Kα1 and Kα2), from a structure optimized by DFT (GGA-PBE).
Neutral-atom scattering factors, no anomalous dispersion.

Unit cell a=6.5696 b=6.8983 c=7.9440 alpha=90.00 beta=108.37 gamma=90.00
Space group P2_1/m (No. 11)
Inequivalent atoms, fractional coordinates:
K 0.0988 0.2500 0.3737
Hg 0.2075 0.2500 0.8823
Hg 0.2809 0.7500 0.0721
Br 0.3455 0.7500 0.4085
O 0.1917 0.5384 0.8541

The 6 most intense peaks (15 to 90 degrees two-theta), low angle first:
| Position (°2θ) | Rel. int. | hkl |
| --- | --- | --- |
| 17.42 | 100 | 0 1 1 |
| 25.83 | 93 | 0 2 0 |
| 26.95 | 68 | 0 1 2 |
| 27.30 | 61 | 2 0 -1 |
| 28.63 | 47 | 2 0 0 |
| 38.11 | 46 | 0 1 3 |



Calculated XRD peak list of KHg2PbBr8 for Cu Kα (weighted mean of Kα1 and Kα2), from a structure optimized by DFT (GGA-PBE).
Neutral-atom scattering factors, no anomalous dispersion.

Unit cell a=7.0920 b=7.3112 c=9.2642 alpha=81.22 beta=74.07 gamma=88.00
Space group P-1 (No. 2)
Inequivalent atoms, fractional coordinates:
K 0.0000 0.0000 0.0000
Hg 0.4659 0.4932 0.2361
Pb 0.0000 0.0000 0.5000
Br 0.1998 0.8033 0.7017
Br 0.2467 0.3416 0.4873
Br 0.2598 0.3893 0.9960
Br 0.2700 0.8616 0.2430

The 6 most intense peaks (15 to 90 degrees two-theta), low angle first:
| Position (°2θ) | Rel. int. | hkl |
| --- | --- | --- |
| 17.82 | 91 | 1 -1 0 |
| 17.95 | 100 | 1 1 0 |
| 20.81 | 42 | 1 0 2 |
| 22.67 | 53 | 1 1 2 |
| 27.86 | 46 | 1 -2 0 |
| 32.17 | 62 | 2 -1 2 |



Calculated XRD peak list of KHg2PdBr6 for Cu Kα (weighted mean of Kα1 and Kα2), from a structure optimized by DFT (GGA-PBE).
Neutral-atom scattering factors, no anomalous dispersion.

Unit cell a=6.9326 b=7.3667 c=7.7788 alpha=75.22 beta=78.59 gamma=76.55
Space group P1 (No. 1)
Inequivalent atoms, fractional coordinates:
K 0.0000 0.0000 0.0000
Hg 0.3550 0.4304 0.9981
Hg 0.7301 0.4910 0.3615
Pd 0.6386 0.9461 0.6809
Br 0.3607 0.4569 0.3398
Br 0.3685 0.7420 0.7407
Br 0.4875 0.0661 0.9758
Br 0.8312 0.7919 0.4181
Br 0.8945 0.1701 0.5838
Br 0.9267 0.4691 0.0172

The 6 most intense peaks (15 to 90 degrees two-theta), low angle first:
| Position (°2θ) | Rel. int. | hkl |
| --- | --- | --- |
| 16.49 | 74 | 1 0 1 |
| 19.20 | 100 | 0 1 -1 |
| 23.87 | 41 | 1 -1 1 |
| 24.52 | 52 | 0 1 2 |
| 25.48 | 37 | 0 2 0 |
| 32.06 | 60 | 2 2 1 |



Calculated XRD peak list of KHgRuBr6 for Cu Kα (weighted mean of Kα1 and Kα2), from a structure optimized by DFT (GGA-PBE).
Neutral-atom scattering factors, no anomalous dispersion.

Unit cell a=7.1280 b=7.1280 c=7.0447 alpha=90.00 beta=90.00 gamma=120.00
Space group P312 (No. 149)
Inequivalent atoms, fractional coordinates:
K 0.0000 0.0000 0.0000
Hg 0.6667 0.3333 0.5000
Ru 0.3333 0.6667 0.5000
Br 0.0388 0.3857 0.7069

The 6 most intense peaks (15 to 90 degrees two-theta), low angle first:
| Position (°2θ) | Rel. int. | hkl |
| --- | --- | --- |
| 19.12 | 66 | 1 0 1 |
| 28.06 | 100 | 2 -1 1 |
| 35.84 | 93 | 2 -1 2 |
| 40.74 | 34 | 3 -1 1 |
| 44.01 | 40 | 3 0 0 |
| 46.30 | 35 | 1 1 3 |



Calculated XRD peak list of K2Tl2HgBr6 for Cu Kα (weighted mean of Kα1 and Kα2), from a structure optimized by DFT (GGA-PBE).
Neutral-atom scattering factors, no anomalous dispersion.

Unit cell a=8.1889 b=13.4725 c=8.0316 alpha=90.00 beta=109.49 gamma=90.00
Space group C2/m (No. 12)
Inequivalent atoms, fractional coordinates:
K 0.0000 0.1628 0.0000
Tl 0.0000 0.3181 0.5000
Hg 0.0000 0.5000 0.0000
Br 0.2016 0.5000 0.7783
Br 0.2260 0.3471 0.2275

The 6 most intense peaks (15 to 90 degrees two-theta), low angle first:
| Position (°2θ) | Rel. int. | hkl |
| --- | --- | --- |
| 17.62 | 42 | 0 2 1 |
| 26.93 | 52 | 2 0 -2 |
| 27.52 | 100 | 1 3 1 |
| 38.46 | 20 | 2 0 2 |
| 38.60 | 34 | 3 3 -1 |
| 39.18 | 35 | 1 3 -3 |



Calculated XRD peak list of KTlHgBr4 for Cu Kα (weighted mean of Kα1 and Kα2), from a structure optimized by DFT (GGA-PBE).
Neutral-atom scattering factors, no anomalous dispersion.

Unit cell a=7.8089 b=7.7431 c=9.0984 alpha=90.00 beta=107.54 gamma=90.00
Space group P2_1/m (No. 11)
Inequivalent atoms, fractional coordinates:
K 0.2212 0.2500 0.0601
Tl 0.2373 0.2500 0.5583
Hg 0.2485 0.7500 0.8065
Br 0.0012 0.0070 0.7458
Br 0.4391 0.7500 0.6123
Br 0.4423 0.7500 0.1005

The 6 most intense peaks (15 to 90 degrees two-theta), low angle first:
| Position (°2θ) | Rel. int. | hkl |
| --- | --- | --- |
| 17.44 | 60 | 1 1 -1 |
| 22.97 | 77 | 0 2 0 |
| 28.88 | 98 | 2 1 -2 |
| 29.15 | 100 | 1 1 2 |
| 33.39 | 69 | 2 2 0 |
| 39.63 | 55 | 1 0 -4 |



Calculated XRD peak list of La5Hg2Br for Cu Kα (weighted mean of Kα1 and Kα2), from a structure optimized by DFT (GGA-PBE).
Neutral-atom scattering factors, no anomalous dispersion.

Unit cell a=9.8211 b=12.9126 c=4.1136 alpha=90.00 beta=90.00 gamma=90.00
Space group Pbam (No. 55)
Inequivalent atoms, fractional coordinates:
La 0.0000 0.0000 0.0000
La 0.1415 0.2908 0.0000
La 0.2097 0.5685 0.5000
Hg 0.0907 0.8149 0.5000
Br 0.0000 0.5000 0.0000

The 6 most intense peaks (15 to 90 degrees two-theta), low angle first:
| Position (°2θ) | Rel. int. | hkl |
| --- | --- | --- |
| 29.14 | 100 | 1 4 0 |
| 30.62 | 17 | 3 2 0 |
| 31.43 | 34 | 1 3 1 |
| 31.58 | 37 | 2 2 1 |
| 39.25 | 21 | 4 2 0 |
| 44.03 | 17 | 0 0 2 |



Calculated XRD peak list of LaHg2Br for Cu Kα (weighted mean of Kα1 and Kα2), from a structure optimized by DFT (GGA-PBE).
Neutral-atom scattering factors, no anomalous dispersion.

Unit cell a=10.5914 b=4.1944 c=5.5523 alpha=90.00 beta=108.84 gamma=90.00
Space group Cm (No. 8)
Inequivalent atoms, fractional coordinates:
La 0.0000 0.0000 0.0000
Hg 0.2431 0.0000 0.6314
Hg 0.4951 0.0000 0.4637
Br 0.2271 0.5000 0.1037

The 6 most intense peaks (15 to 90 degrees two-theta), low angle first:
| Position (°2θ) | Rel. int. | hkl |
| --- | --- | --- |
| 30.35 | 100 | 1 1 1 |
| 32.99 | 31 | 2 0 -2 |
| 34.25 | 85 | 3 1 -1 |
| 35.83 | 36 | 4 0 0 |
| 43.14 | 22 | 0 2 0 |
| 55.31 | 27 | 2 2 -2 |



Calculated XRD peak list of La4HgRuBr2 for Cu Kα (weighted mean of Kα1 and Kα2), from a structure optimized by DFT (GGA-PBE).
Neutral-atom scattering factors, no anomalous dispersion.

Unit cell a=7.7803 b=4.1942 c=8.3328 alpha=90.00 beta=108.08 gamma=90.00
Space group P2/m (No. 10)
Inequivalent atoms, fractional coordinates:
La 0.2130 0.0000 0.2923
La 0.2244 0.5000 0.7019
Hg 0.5000 0.5000 0.5000
Ru 0.0000 0.0000 0.5000
Br 0.0000 0.5000 0.0000
Br 0.5000 0.0000 0.0000

The 6 most intense peaks (15 to 90 degrees two-theta), low angle first:
| Position (°2θ) | Rel. int. | hkl |
| --- | --- | --- |
| 27.42 | 44 | 2 0 -2 |
| 28.46 | 100 | 1 1 1 |
| 38.10 | 19 | 2 0 2 |
| 38.92 | 29 | 1 1 -3 |
| 40.91 | 31 | 3 1 -1 |
| 43.14 | 17 | 0 2 0 |



Calculated XRD peak list of LiHg2Br5 for Cu Kα (weighted mean of Kα1 and Kα2), from a structure optimized by DFT (GGA-PBE).
Neutral-atom scattering factors, no anomalous dispersion.

Unit cell a=5.5784 b=14.1426 c=13.2690 alpha=90.00 beta=90.00 gamma=90.00
Space group Cmcm (No. 63)
Inequivalent atoms, fractional coordinates:
Li 0.0000 0.2374 0.2500
Hg 0.0000 0.1217 0.5748
Br 0.0000 0.0723 0.1216
Br 0.0000 0.2327 0.7500
Br 0.0000 0.3340 0.0794

The 6 most intense peaks (15 to 90 degrees two-theta), low angle first:
| Position (°2θ) | Rel. int. | hkl |
| --- | --- | --- |
| 17.09 | 100 | 1 1 0 |
| 23.73 | 63 | 0 2 3 |
| 25.19 | 30 | 0 4 0 |
| 32.07 | 88 | 2 0 0 |
| 40.30 | 33 | 2 2 3 |
| 43.51 | 37 | 0 6 3 |



Calculated XRD peak list of LiHgBr for Cu Kα (weighted mean of Kα1 and Kα2), from a structure optimized by DFT (GGA-PBE).
Neutral-atom scattering factors, no anomalous dispersion.

Unit cell a=6.5550 b=7.3759 c=7.3753 alpha=90.00 beta=90.00 gamma=90.00
Space group Aem2 (No. 39)
Inequivalent atoms, fractional coordinates:
Li 0.0033 0.2500 0.0000
Hg 0.4995 0.2500 0.0161
Br 0.0000 0.0000 0.2510

The 6 most intense peaks (15 to 90 degrees two-theta), low angle first:
| Position (°2θ) | Rel. int. | hkl |
| --- | --- | --- |
| 27.21 | 28 | 2 0 0 |
| 27.76 | 100 | 1 2 0 |
| 34.39 | 31 | 0 2 2 |
| 44.39 | 30 | 2 2 2 |
| 48.42 | 22 | 3 2 0 |
| 57.63 | 26 | 1 4 2 |



Calculated XRD peak list of Li6Hg2BrN for Cu Kα (weighted mean of Kα1 and Kα2), from a structure optimized by DFT (GGA-PBE).
Neutral-atom scattering factors, no anomalous dispersion.

Unit cell a=9.0577 b=9.0577 c=9.0577 alpha=90.00 beta=90.00 gamma=90.00
Space group Fm-3m (No. 225)
Inequivalent atoms, fractional coordinates:
Li 0.0000 0.0000 0.2147
Hg 0.2500 0.2500 0.2500
Br 0.0000 0.0000 0.5000
N 0.0000 0.0000 0.0000

The 6 most intense peaks (15 to 90 degrees two-theta), low angle first:
| Position (°2θ) | Rel. int. | hkl |
| --- | --- | --- |
| 19.60 | 39 | 2 0 0 |
| 27.86 | 100 | 2 2 0 |
| 39.81 | 22 | 4 0 0 |
| 44.75 | 21 | 4 2 0 |
| 49.29 | 41 | 4 2 2 |
| 79.12 | 22 | 6 4 2 |